Computed XRD peak list
Compound: Er3Ni2P3
Radiation: Cu Ka
Structure: a cell relaxed with PBE
No peak broadening, texture or thermal motion is included.

Largest 8 diffraction maxima, sorted by position, 15° ≤ 2θ ≤ 90°:
| 2θ (°) | Rel. int. |
| --- | --- |
| 26.34 | 487 |
| 27.70 | 270 |
| 35.39 | 745 |
| 36.22 | 1000 |
| 40.16 | 279 |
| 40.29 | 528 |
| 46.28 | 355 |
| 59.97 | 385 |

```
Er3Ni2P3
1.0
1.9618 -5.1453 0.0000
1.9618 5.1453 0.0000
0.0000 0.0000 13.4730
Er Ni P
6 4 6
direct
0.0748 0.9252 0.6089 Er
0.0748 0.9252 0.8911 Er
0.3600 0.6400 0.7500 Er
0.6400 0.3600 0.2500 Er
0.9252 0.0748 0.1089 Er
0.9252 0.0748 0.3911 Er
0.2235 0.7765 0.0942 Ni
0.2235 0.7765 0.4058 Ni
0.7765 0.2235 0.5942 Ni
0.7765 0.2235 0.9058 Ni
0.3445 0.6555 0.2500 P
0.3687 0.6313 0.5476 P
0.3687 0.6313 0.9524 P
0.6313 0.3687 0.0476 P
0.6313 0.3687 0.4524 P
0.6555 0.3445 0.7500 P
```